Record 1
Computed X-ray powder pattern of Tb2Mn17C2 for Cu Ka, from the PBE geometry in Alexandria.

Lattice parameters (Å, degrees): 9.545 8.598 6.438 90.00 98.29 90.00
Space group C2/m (No. 12)
One atom of each set of equivalent atoms:
Tb: 0.148 0.000 0.350 x4
Mn: 0.000 0.225 0.000 x4
Mn: 0.000 0.500 0.500 x2
Mn: 0.096 0.500 0.902 x4
Mn: 0.099 0.263 0.662 x8
Mn: 0.144 0.361 0.279 x8
Mn: 0.149 0.000 0.875 x4
Mn: 0.250 0.250 0.000 x4
C: 0.250 0.250 0.500 x4

The 12 most intense peaks (2θ from 5° to 70°), by angle:
2theta  I/Imax  index
30.2  55.1  3 1 0
31.6  22.3  2 0 -2
32.7  27.3  2 2 1
36.2  51.0  1 3 1
38.0  35.4  2 2 -2
38.1  17.2  4 0 0
42.1  96.3  0 4 0
42.6  100.0  0 0 3
42.7  19.8  4 0 1
43.6  19.8  1 1 -3
44.3  44.9  4 0 -2
61.4  19.9  0 4 3



Record 2
Computed X-ray powder pattern of Th2MnC4 for Cu Ka, from the PBE geometry in Alexandria.

Lattice parameters (Å, degrees): 7.459 10.284 5.243 90.00 90.00 90.00
Space group Ibam (No. 72)
One atom of each set of equivalent atoms:
Th: 0.172 0.141 0.000 x8
Mn: 0.000 0.500 0.250 x4
C: 0.160 0.129 0.500 x8
C: 0.161 0.418 0.000 x8

The 12 most intense peaks (2θ from 5° to 70°), by angle:
2theta  I/Imax  index
27.1  100.0  1 2 1
28.7  23.2  1 3 0
30.7  48.4  2 1 1
34.2  21.4  0 0 2
34.9  15.9  0 4 0
37.2  20.1  3 1 0
45.0  13.6  3 3 0
49.7  19.5  0 4 2
52.9  13.7  4 1 1
53.8  14.7  2 5 1
57.0  14.1  1 2 3
57.7  22.2  3 3 2



Record 3
Computed X-ray powder pattern of Th2Mn17C3 for Cu Ka, from the PBE geometry in Alexandria.

Lattice parameters (Å, degrees): 8.7099 8.7099 12.5449 90.00 90.00 120.00
Space group R-3m (No. 166, hexagonal axes)
One atom of each set of equivalent atoms:
Th: 0.0000 0.0000 0.1475 x6
Mn: 0.0000 0.0000 0.4083 x6
Mn: 0.0000 0.2813 0.5000 x18
Mn: 0.0000 0.5000 0.0000 x9
Mn: 0.0221 0.5110 0.3459 x18
C: 0.0000 0.5000 0.5000 x9

The 12 most intense peaks (2θ from 5° to 70°), by angle:
2theta  I/Imax  index
20.4  25.1  1 1 0
29.6  64.7  1 1 3
30.9  27.2  1 0 4
32.2  30.2  2 1 1
35.7  46.4  3 0 0
37.3  38.8  0 2 4
41.5  72.6  2 2 0
41.9  100.0  3 0 3
42.9  31.5  2 1 4
43.3  31.5  0 0 6
60.4  28.0  1 4 3
61.1  42.5  2 1 7



Record 4
Computed X-ray powder pattern of UTiMnC3 for Cu Ka, from the PBE geometry in Alexandria.

Lattice parameters (Å, degrees): 6.796 3.100 7.234 90.00 102.08 90.00
Space group P2_1/m (No. 11)
One atom of each set of equivalent atoms:
U: 0.180 0.250 0.199 x2
Ti: 0.355 0.750 0.859 x2
Mn: 0.110 0.250 0.600 x2
C: 0.122 0.250 0.864 x2
C: 0.186 0.750 0.480 x2
C: 0.427 0.750 0.159 x2

The 12 most intense peaks (2θ from 5° to 70°), by angle:
2theta  I/Imax  index
13.3  100.0  1 0 0
16.3  57.9  1 0 -1
20.2  91.6  1 0 1
25.2  52.0  0 0 2
31.5  83.1  0 1 1
31.9  77.7  1 1 0
32.9  80.1  2 0 -2
38.6  57.2  0 1 2
39.1  60.5  1 1 -2
39.8  90.7  2 1 0
40.0  58.0  2 1 -1
52.9  42.7  1 1 3



Record 5
Computed X-ray powder pattern of Tm10Mn13C18 for Cu Ka, from the PBE geometry in Alexandria.

Lattice parameters (Å, degrees): 9.980 9.980 9.980 90.00 90.00 90.00
Space group I-43m (No. 217)
One atom of each set of equivalent atoms:
Tm: 0.000 0.250 0.500 x12
Tm: 0.206 0.206 0.794 x8
Mn: 0.000 0.000 0.000 x2
Mn: 0.077 0.077 0.257 x24
C: 0.000 0.000 0.431 x12
C: 0.037 0.259 0.259 x24

The 12 most intense peaks (2θ from 5° to 70°), by angle:
2theta  I/Imax  index
28.3  24.9  3 1 0
31.0  100.0  2 2 2
33.6  77.0  3 2 1
36.0  61.3  4 0 0
38.3  55.5  4 1 1
42.5  17.0  3 3 2
46.4  23.9  4 3 1
51.8  23.7  4 4 0
53.5  21.5  5 3 0
56.9  46.7  5 3 2
66.2  16.8  5 5 0
69.2  24.5  7 2 1



Record 6
Computed X-ray powder pattern of Tm2UMn2C4 for Cu Ka, from the PBE geometry in Alexandria.

Lattice parameters (Å, degrees): 12.448 3.301 5.978 90.00 109.50 90.00
Space group C2/m (No. 12)
One atom of each set of equivalent atoms:
Tm: 0.137 0.000 0.049 x4
U: 0.000 0.000 0.500 x2
Mn: 0.181 0.500 0.492 x4
C: 0.029 0.500 0.243 x4
C: 0.222 0.000 0.712 x4

The 12 most intense peaks (2θ from 5° to 70°), by angle:
2theta  I/Imax  index
25.3  37.0  2 0 1
28.1  90.7  1 1 0
29.3  78.4  4 0 -1
30.3  23.2  2 0 -2
31.8  75.4  0 0 2
35.7  100.0  3 1 -1
39.1  34.2  4 0 1
40.8  69.2  1 1 -2
42.3  94.5  3 1 1
45.8  25.1  5 1 -1
55.7  23.7  0 2 0
62.1  27.6  7 1 0